1.
The following is a simulated powder diffraction line list of Ac2PuCu3Sn4. It was derived from a crystal structure in Alexandria, relaxed with GGA-PBE, using Cu Kα (weighted mean of Kα1 and Kα2).
Neutral-atom scattering factors, no anomalous dispersion.

Cell and atoms:
a = 4.6360 Å, b = 4.6360 Å, c = 11.9766 Å
α = 90.00°, β = 90.00°, γ = 90.00°
Positions (direct):
Ac 0.0000 0.5000 0.2324
Ac 0.5000 0.0000 0.7676
Pu 0.0000 0.0000 0.5000
Cu 0.0000 0.5000 0.8804
Cu 0.5000 0.0000 0.1196
Cu 0.5000 0.5000 0.5000
Sn 0.0000 0.0000 0.0000
Sn 0.0000 0.5000 0.6619
Sn 0.5000 0.0000 0.3381
Sn 0.5000 0.5000 0.0000

The 10 most intense peaks (2θ from 15° to 90°), in order of rising 2θ:
| 2θ/deg | I_rel |
| --- | --- |
| 29.53 | 32 |
| 31.10 | 100 |
| 38.85 | 45 |
| 42.48 | 18 |
| 49.54 | 16 |
| 49.74 | 14 |
| 53.77 | 16 |
| 56.11 | 16 |
| 58.92 | 14 |
| 65.56 | 25 |

2.
The following is a simulated powder diffraction line list of KPdCl. It was derived from a crystal structure in Alexandria, relaxed with GGA-PBE, using Cu Kα (weighted mean of Kα1 and Kα2).
Neutral-atom scattering factors, no anomalous dispersion.

Cell and atoms:
a = 5.9573 Å, b = 5.9573 Å, c = 7.8605 Å
α = 107.29°, β = 107.29°, γ = 36.91°
Positions (direct):
K 0.0000 0.0000 0.0000
K 0.6401 0.6401 0.5477
Pd 0.3187 0.3187 0.1900
Pd 0.8835 0.8835 0.4297
Cl 0.3908 0.3908 0.6502
Cl 0.7229 0.7229 0.9807

The 10 most intense peaks (2θ from 15° to 90°), in order of rising 2θ:
| 2θ/deg | I_rel |
| --- | --- |
| 16.52 | 100 |
| 17.06 | 92 |
| 31.71 | 68 |
| 32.93 | 67 |
| 34.55 | 38 |
| 36.66 | 82 |
| 37.44 | 26 |
| 39.26 | 40 |
| 44.34 | 37 |
| 48.26 | 25 |

3.
The following is a simulated powder diffraction line list of HoBe2CuPd5. It was derived from a crystal structure in Alexandria, relaxed with GGA-PBE, using Cu Kα (weighted mean of Kα1 and Kα2).
Neutral-atom scattering factors, no anomalous dispersion.

Cell and atoms:
a = 4.3673 Å, b = 4.3673 Å, c = 7.0005 Å
α = 90.00°, β = 90.00°, γ = 90.00°
Positions (direct):
Ho 0.0000 0.0000 0.0000
Be 0.5000 0.5000 0.3407
Be 0.5000 0.5000 0.6593
Cu 0.0000 0.0000 0.5000
Pd 0.0000 0.5000 0.2841
Pd 0.0000 0.5000 0.7159
Pd 0.5000 0.0000 0.2841
Pd 0.5000 0.0000 0.7159
Pd 0.5000 0.5000 0.0000

The 10 most intense peaks (2θ from 15° to 90°), in order of rising 2θ:
| 2θ/deg | I_rel |
| --- | --- |
| 31.67 | 27 |
| 38.58 | 11 |
| 38.89 | 100 |
| 41.35 | 49 |
| 57.83 | 13 |
| 59.90 | 16 |
| 68.74 | 13 |
| 73.75 | 29 |
| 74.40 | 9 |
| 89.85 | 9 |